Structure and computed powder XRD pattern of RbTaV2O8 (a cell relaxed with GGA+U; Cu Kα).

Structural model:
a = 15.6134 Å, b = 5.6800 Å, c = 9.3044 Å
α = 90.00°, β = 90.00°, γ = 90.00°
Space group Pnma (No. 62)
Unique sites:
Rb 0.1015 0.2500 0.0605
Ta 0.1570 0.2500 0.5020
V 0.0573 0.7500 0.3178
V 0.1691 0.7500 0.7445
O 0.0421 0.2500 0.5932
O 0.0431 0.7500 0.1412
O 0.0669 0.7500 0.7854
O 0.1171 0.0048 0.3647
O 0.1947 0.0028 0.6407
O 0.2293 0.7500 0.9080

Peak list (12 most intense, 5 to 70 degrees two-theta, in order of rising 2θ)
2theta	d [Å]	I (rel.)	hkl
11.1	7.993	26	1 0 1
19.1	4.636	45	0 0 2
19.3	4.593	28	2 1 0
19.5	4.542	33	3 0 1
22.8	3.903	19	4 0 0
24.7	3.599	13	4 0 1
27.3	3.268	100	2 1 2
31.5	2.840	25	0 2 0
33.4	2.681	12	1 1 3
34.2	2.625	14	5 1 1
44.7	2.026	12	7 1 1
53.6	1.711	15	2 3 2